(1)
The following is a theoretical PXRD pattern of TbSm2P3. It was derived from a GGA-PBE-relaxed structure, using Cu Ka.
Neutral-atom scattering factors, no anomalous dispersion.

Most intense lines, 2θ from 5° to 70°, in order of falling intensity:
2θ 30.98, I = 100
2θ 26.75, I = 83
2θ 44.39, I = 73
2θ 52.58, I = 41
2θ 55.11, I = 26
2θ 64.58, I = 12

Structural model:
a b c (Å): 4.0859 5.7709 12.2373
angles (deg): 90.00 90.00 90.00
Space group Immm (No. 71)
One atom of each set of equivalent atoms:
Tb: 0.0000 0.0000 0.0000 (multiplicity 2)
Sm: 0.0000 0.0000 0.3330 (multiplicity 4)
P: 0.0000 0.5000 0.0000 (multiplicity 2)
P: 0.0000 0.5000 0.3359 (multiplicity 4)

(2)
The following is a theoretical PXRD pattern of LiS4Br. It was derived from a GGA-PBE-relaxed structure, using Cu Ka.
Neutral-atom scattering factors, no anomalous dispersion.

Most intense lines, 2θ from 5° to 70°, in order of falling intensity:
2θ 24.68, I = 100
2θ 27.36, I = 71
2θ 31.68, I = 55
2θ 33.61, I = 46
2θ 20.57, I = 44
2θ 18.48, I = 43
2θ 22.62, I = 31
2θ 30.02, I = 30

Structural model:
a b c (Å): 4.4319 8.7993 9.6437
angles (deg): 62.97 76.93 79.12
Space group P-1 (No. 2)
One atom of each set of equivalent atoms:
Li: 0.1788 0.1108 0.0397 (multiplicity 2)
S: 0.0413 0.1764 0.4675 (multiplicity 2)
S: 0.1406 0.3974 0.0709 (multiplicity 2)
S: 0.1454 0.4087 0.5559 (multiplicity 2)
S: 0.1915 0.6765 0.7009 (multiplicity 2)
Br: 0.3419 0.0002 0.8306 (multiplicity 2)

(3)
The following is a theoretical PXRD pattern of PuS3O9. It was derived from a GGA-PBE-relaxed structure, using Cu Ka.
Neutral-atom scattering factors, no anomalous dispersion.

Most intense lines, 2θ from 5° to 70°, in order of falling intensity:
2θ 13.81, I = 100
2θ 20.22, I = 61
2θ 26.17, I = 38
2θ 22.00, I = 28
2θ 30.98, I = 23
2θ 18.44, I = 21
2θ 27.82, I = 19
2θ 29.72, I = 18

Structural model:
a b c (Å): 13.8791 8.6037 9.7030
angles (deg): 90.00 126.65 90.00
Space group Cc (No. 9)
One atom of each set of equivalent atoms:
Pu: 0.0000 0.2488 0.0000 (multiplicity 4)
S: 0.1649 0.4597 0.8674 (multiplicity 4)
S: 0.2548 0.0106 0.7447 (multiplicity 4)
S: 0.3750 0.4215 0.7100 (multiplicity 4)
O: 0.0669 0.3936 0.8720 (multiplicity 4)
O: 0.1112 0.4159 0.2325 (multiplicity 4)
O: 0.1548 0.1023 0.1073 (multiplicity 4)
O: 0.2059 0.1113 0.8073 (multiplicity 4)
O: 0.2334 0.4168 0.5546 (multiplicity 4)
O: 0.3114 0.0792 0.6743 (multiplicity 4)
O: 0.3443 0.1046 0.3906 (multiplicity 4)
O: 0.3964 0.4068 0.2654 (multiplicity 4)
O: 0.4367 0.4014 0.6224 (multiplicity 4)

(4)
The following is a theoretical PXRD pattern of PrDy2Sc4. It was derived from a GGA-PBE-relaxed structure, using Cu Ka.
Neutral-atom scattering factors, no anomalous dispersion.

Most intense lines, 2θ from 5° to 70°, in order of falling intensity:
2θ 32.46, I = 100
2θ 31.20, I = 75
2θ 36.15, I = 60
2θ 21.92, I = 59
2θ 45.64, I = 55
2θ 28.40, I = 44
2θ 50.30, I = 34
2θ 56.32, I = 31

Structural model:
a b c (Å): 8.1092 8.1092 6.2931
angles (deg): 90.00 90.00 90.00
Space group I4/mmm (No. 139)
One atom of each set of equivalent atoms:
Pr: 0.0000 0.0000 0.0000 (multiplicity 2)
Dy: 0.0000 0.5000 0.2500 (multiplicity 4)
Sc: 0.1925 0.1925 0.5000 (multiplicity 8)

(5)
The following is a theoretical PXRD pattern of Ta6Rh5W. It was derived from a GGA-PBE-relaxed structure, using Cu Ka.
Neutral-atom scattering factors, no anomalous dispersion.

Most intense lines, 2θ from 5° to 70°, in order of falling intensity:
2θ 38.95, I = 100
2θ 42.71, I = 77
2θ 39.19, I = 50
2θ 38.78, I = 49
2θ 62.00, I = 25
2θ 50.18, I = 24
2θ 68.24, I = 19
2θ 67.69, I = 19

Structural model:
a b c (Å): 4.7326 5.9916 6.9700
angles (deg): 90.00 98.35 90.00
Space group P2/m (No. 10)
One atom of each set of equivalent atoms:
Ta: 0.0000 0.2481 0.0000 (multiplicity 2)
Ta: 0.3515 0.2512 0.6666 (multiplicity 4)
Rh: 0.1393 0.5000 0.3346 (multiplicity 2)
Rh: 0.1505 0.0000 0.3345 (multiplicity 2)
Rh: 0.5000 0.0000 0.0000 (multiplicity 1)
W: 0.5000 0.5000 0.0000 (multiplicity 1)

(6)
The following is a theoretical PXRD pattern of MnTc4. It was derived from a GGA-PBE-relaxed structure, using Cu Ka.
Neutral-atom scattering factors, no anomalous dispersion.

Most intense lines, 2θ from 5° to 70°, in order of falling intensity:
2θ 40.76, I = 100
2θ 47.48, I = 32
2θ 69.27, I = 20
2θ 47.30, I = 16
2θ 69.41, I = 10
2θ 27.49, I = 3
2θ 20.74, I = 2
2θ 29.50, I = 2

Structural model:
a b c (Å): 6.0554 6.0554 3.8433
angles (deg): 90.00 90.00 90.00
Space group I4/m (No. 87)
One atom of each set of equivalent atoms:
Mn: 0.0000 0.0000 0.0000 (multiplicity 2)
Tc: 0.1020 0.7034 0.5000 (multiplicity 8)

(7)
The following is a theoretical PXRD pattern of MgCd5Pb. It was derived from a GGA-PBE-relaxed structure, using Cu Ka.
Neutral-atom scattering factors, no anomalous dispersion.

Most intense lines, 2θ from 5° to 70°, in order of falling intensity:
2θ 34.33, I = 100
2θ 34.83, I = 96
2θ 17.21, I = 70
2θ 41.69, I = 58
2θ 56.87, I = 45
2θ 36.90, I = 41
2θ 33.79, I = 28
2θ 31.23, I = 17

Structural model:
a b c (Å): 6.0695 9.7442 6.1883
angles (deg): 90.00 90.00 90.00
Space group Cmmm (No. 65)
One atom of each set of equivalent atoms:
Mg: 0.0000 0.0000 0.0000 (multiplicity 2)
Cd: 0.0000 0.5000 0.0000 (multiplicity 2)
Cd: 0.2500 0.2500 0.2491 (multiplicity 8)
Pb: 0.0000 0.5000 0.5000 (multiplicity 2)

(8)
The following is a theoretical PXRD pattern of CrSb3. It was derived from a GGA-PBE-relaxed structure, using Cu Ka.
Neutral-atom scattering factors, no anomalous dispersion.

Most intense lines, 2θ from 5° to 70°, in order of falling intensity:
2θ 34.58, I = 100
2θ 37.26, I = 53
2θ 65.47, I = 30
2θ 28.44, I = 27
2θ 51.10, I = 18
2θ 53.71, I = 18
2θ 33.69, I = 15
2θ 64.44, I = 12

Structural model:
a b c (Å): 3.4132 3.4132 7.9816
angles (deg): 90.00 90.00 90.00
Space group P4/mmm (No. 123)
One atom of each set of equivalent atoms:
Cr: 0.0000 0.0000 0.0000 (multiplicity 1)
Sb: 0.0000 0.0000 0.5000 (multiplicity 1)
Sb: 0.5000 0.5000 0.1965 (multiplicity 2)

What is the formula in the third record?
PuS3O9